[1]
Simulated powder X-ray diffraction pattern
Compound: TbSc8
Radiation: Cu Ka
Structure: a structure optimized by DFT (GGA-PBE)

Crystal structure
Lattice parameters (Å, degrees): 9.879 9.879 4.648 90.00 90.00 90.00
Space group I4/mmm (No. 139)
Asymmetric unit:
Tb (0.000, 0.000, 0.000) x2
Sc (0.000, 0.336, 0.000) x8
Sc (0.169, 0.169, 0.500) x8

Peak list (10 most intense, 2θ from 15° to 90°, sorted by position)
2θ = 17.96°, I = 10; 2θ = 21.12°, I = 15; 2θ = 27.86°, I = 15; 2θ = 28.57°, I = 7; 2θ = 33.34°, I = 100; 2θ = 38.69°, I = 49; 2θ = 55.87°, I = 31; 2θ = 66.61°, I = 23; 2θ = 66.71°, I = 12; 2θ = 70.03°, I = 10

[2]
Simulated powder X-ray diffraction pattern
Compound: Er2SiSO4
Radiation: Cu Ka
Structure: a structure optimized by DFT (GGA-PBE)

Crystal structure
Lattice parameters (Å, degrees): 10.730 12.389 6.855 90.00 90.00 90.00
Space group Cmce (No. 64)
Asymmetric unit:
Er (0.000, 0.171, 0.022) x8
Er (0.250, 0.060, 0.750) x8
Si (0.250, 0.186, 0.250) x8
S (0.000, 0.009, 0.747) x8
O (0.127, 0.236, 0.763) x16
O (0.225, 0.106, 0.064) x16

Peak list (10 most intense, 2θ from 15° to 90°, sorted by position)
2θ = 16.94°, I = 65; 2θ = 21.92°, I = 70; 2θ = 26.53°, I = 93; 2θ = 29.79°, I = 41; 2θ = 30.96°, I = 100; 2θ = 31.70°, I = 45; 2θ = 33.40°, I = 69; 2θ = 35.70°, I = 38; 2θ = 35.95°, I = 39; 2θ = 45.36°, I = 48

[3]
Simulated powder X-ray diffraction pattern
Compound: MgBr5
Radiation: Cu Ka
Structure: a structure optimized by DFT (GGA-PBE)

Crystal structure
Lattice parameters (Å, degrees): 12.829 3.770 11.868 90.00 112.70 90.00
Space group Cm (No. 8)
Asymmetric unit:
Mg (0.000, 0.000, 0.000) x2
Br (0.089, 0.000, 0.509) x2
Br (0.142, 0.500, 0.107) x2
Br (0.256, 0.500, 0.509) x2
Br (0.358, 0.000, 0.893) x2
Br (0.422, 0.000, 0.509) x2

Peak list (10 most intense, 2θ from 15° to 90°, sorted by position)
2θ = 16.19°, I = 100; 2θ = 17.31°, I = 27; 2θ = 23.18°, I = 15; 2θ = 24.39°, I = 33; 2θ = 31.65°, I = 29; 2θ = 32.56°, I = 22; 2θ = 32.86°, I = 29; 2θ = 35.47°, I = 21; 2θ = 36.02°, I = 31; 2θ = 40.73°, I = 16